For Pm2Y2Pb3, a crystal structure in Alexandria, relaxed with GGA-PBE gives the theoretical PXRD pattern in this record (copper Kα).

Cell and atoms:
```
data_Pm2Y2Pb3
_chemical_formula_sum 'Pm4 Y4 Pb6'
_space_group_name_H-M_alt 'P 1'
_space_group_IT_number 1
_space_group_name_Hall 'P 1'
_cell_length_a 7.7571
_cell_length_b 7.7571
_cell_length_c 9.4239
_cell_angle_alpha 90.00
_cell_angle_beta 90.00
_cell_angle_gamma 126.53
loop_
_atom_site_label
_atom_site_fract_x
_atom_site_fract_y
_atom_site_fract_z
Pm1 0.1801 0.3199 0.2500
Pm2 0.3199 0.1801 0.7500
Pm3 0.6801 0.8199 0.2500
Pm4 0.8199 0.6801 0.7500
Y1 0.1970 0.8030 0.3779
Y2 0.3030 0.6970 0.8779
Y3 0.6970 0.3030 0.1221
Y4 0.8030 0.1970 0.6221
Pb1 0.0000 0.0000 0.5000
Pb2 0.1188 0.8812 0.0675
Pb3 0.3812 0.6188 0.5675
Pb4 0.5000 0.5000 0.0000
Pb5 0.6188 0.3812 0.4325
Pb6 0.8812 0.1188 0.9325
```

Largest 10 diffraction maxima, by angle, 2θ from 10° to 90°:
d (Å)  Rel. int.
6.928  52.5
3.565  62.5
3.490  35.8
3.251  36.1
2.982  44.1
2.959  83.9
2.861  84.2
2.804  100.0
2.599  44.2
2.484  97.4

For CoRh2, a crystal structure in Alexandria, relaxed with GGA-PBE gives the theoretical PXRD pattern in this record (copper Kα).

Cell and atoms:
```
data_CoRh2
_chemical_formula_sum 'Co4 Rh8'
_space_group_name_H-M_alt 'P 1'
_space_group_IT_number 1
_space_group_name_Hall 'P 1'
_cell_length_a 13.6815
_cell_length_b 2.6836
_cell_length_c 4.5831
_cell_angle_alpha 90.00
_cell_angle_beta 108.47
_cell_angle_gamma 90.00
loop_
_atom_site_label
_atom_site_fract_x
_atom_site_fract_y
_atom_site_fract_z
Co1 0.0810 0.0000 0.2459
Co2 0.4190 0.5000 0.7541
Co3 0.5810 0.5000 0.2459
Co4 0.9190 0.0000 0.7541
Rh1 0.0798 0.5000 0.7531
Rh2 0.2477 0.5000 0.2516
Rh3 0.2523 0.0000 0.7484
Rh4 0.4202 0.0000 0.2469
Rh5 0.5798 0.0000 0.7531
Rh6 0.7477 0.0000 0.2516
Rh7 0.7523 0.5000 0.7484
Rh8 0.9202 0.5000 0.2469
```

Largest 10 diffraction maxima, by angle, 2θ from 10° to 90°:
d (Å)  Rel. int.
2.174  100.0
2.163  32.5
1.894  43.3
1.855  20.0
1.327  13.0
1.323  12.4
1.142  7.9
1.140  15.7
1.137  7.7
1.123  7.3

For Cd2AgBr, a crystal structure in Alexandria, relaxed with GGA-PBE gives the theoretical PXRD pattern in this record (copper Kα).

Cell and atoms:
```
data_Cd2AgBr
_chemical_formula_sum 'Cd2 Ag1 Br1'
_space_group_name_H-M_alt 'P 1'
_space_group_IT_number 1
_space_group_name_Hall 'P 1'
_cell_length_a 3.6844
_cell_length_b 3.9533
_cell_length_c 7.0850
_cell_angle_alpha 90.00
_cell_angle_beta 90.17
_cell_angle_gamma 90.00
loop_
_atom_site_label
_atom_site_fract_x
_atom_site_fract_y
_atom_site_fract_z
Cd1 0.0000 0.0000 0.0000
Cd2 0.4983 0.5000 0.7672
Ag1 0.5007 0.5000 0.1672
Br1 0.5003 0.0000 0.4681
```

Largest 10 diffraction maxima, by angle, 2θ from 10° to 90°:
d (Å)  Rel. int.
7.085  40.2
3.684  33.0
3.269  20.6
2.695  51.4
2.638  100.0
2.519  88.2
2.145  21.4
1.991  20.6
1.977  26.9
1.842  21.4

For CsP2H3O6, a crystal structure in Alexandria, relaxed with GGA-PBE gives the theoretical PXRD pattern in this record (copper Kα).

Cell and atoms:
```
data_CsP2H3O6
_chemical_formula_sum 'Cs2 P4 H6 O12'
_space_group_name_H-M_alt 'P 1'
_space_group_IT_number 1
_space_group_name_Hall 'P 1'
_cell_length_a 7.5667
_cell_length_b 7.6951
_cell_length_c 8.0046
_cell_angle_alpha 88.47
_cell_angle_beta 64.59
_cell_angle_gamma 61.67
loop_
_atom_site_label
_atom_site_fract_x
_atom_site_fract_y
_atom_site_fract_z
Cs1 0.0403 0.2971 0.2691
Cs2 0.9597 0.7029 0.7309
P1 0.3499 0.0318 0.6351
P2 0.4528 0.5716 0.1422
P3 0.5472 0.4284 0.8578
P4 0.6501 0.9682 0.3649
H1 0.0838 0.7911 0.2596
H2 0.3853 0.2163 0.8223
H3 0.4620 0.7089 0.6833
H4 0.5380 0.2911 0.3167
H5 0.6147 0.7837 0.1777
H6 0.9162 0.2089 0.7404
O1 0.1399 0.2058 0.6356
O2 0.2358 0.7902 0.1957
O3 0.3390 0.8344 0.6497
O4 0.3499 0.4061 0.8768
O5 0.3847 0.4482 0.2833
O6 0.3999 0.0724 0.7967
O7 0.6001 0.9276 0.2033
O8 0.6153 0.5518 0.7167
O9 0.6501 0.5939 0.1232
O10 0.6610 0.1656 0.3503
O11 0.7642 0.2098 0.8043
O12 0.8601 0.7942 0.3644
```

Largest 10 diffraction maxima, by angle, 2θ from 10° to 90°:
d (Å)  Rel. int.
4.359  51.8
4.119  37.2
3.960  44.8
3.889  100.0
3.840  50.6
3.777  38.6
3.525  75.0
3.446  38.7
3.257  32.8
2.763  32.6

For PmSc12Co5, a crystal structure in Alexandria, relaxed with GGA-PBE gives the theoretical PXRD pattern in this record (copper Kα).

Cell and atoms:
```
data_PmSc12Co5
_chemical_formula_sum 'Pm1 Sc12 Co5'
_space_group_name_H-M_alt 'P 1'
_space_group_IT_number 1
_space_group_name_Hall 'P 1'
_cell_length_a 7.7989
_cell_length_b 7.7989
_cell_length_c 7.7989
_cell_angle_alpha 112.92
_cell_angle_beta 111.91
_cell_angle_gamma 103.74
loop_
_atom_site_label
_atom_site_fract_x
_atom_site_fract_y
_atom_site_fract_z
Pm1 0.0000 0.0000 0.0000
Sc1 0.1296 0.8148 0.3147
Sc2 0.2270 0.3210 0.5480
Sc3 0.2270 0.6790 0.9059
Sc4 0.2812 0.0907 0.8094
Sc5 0.2812 0.4718 0.1906
Sc6 0.4999 0.1852 0.3147
Sc7 0.5001 0.8148 0.6852
Sc8 0.7188 0.5282 0.8094
Sc9 0.7188 0.9093 0.1906
Sc10 0.7730 0.3210 0.0941
Sc11 0.7730 0.6790 0.4520
Sc12 0.8704 0.1852 0.6852
Co1 0.1182 0.6182 0.5000
Co2 0.5000 0.1513 0.6513
Co3 0.5000 0.5000 0.0000
Co4 0.5000 0.8487 0.3487
Co5 0.8818 0.3818 0.5000
```

Largest 10 diffraction maxima, by angle, 2θ from 10° to 90°:
d (Å)  Rel. int.
4.816  27.2
4.366  46.7
3.586  38.5
2.587  100.0
2.477  76.4
2.374  93.4
2.340  38.9
2.329  28.8
2.183  37.2
1.425  28.5

For GaAg2BiS4, a crystal structure in Alexandria, relaxed with GGA-PBE gives the theoretical PXRD pattern in this record (copper Kα).

Cell and atoms:
```
data_GaAg2BiS4
_chemical_formula_sum 'Ga2 Ag4 Bi2 S8'
_space_group_name_H-M_alt 'P 1'
_space_group_IT_number 1
_space_group_name_Hall 'P 1'
_cell_length_a 8.8127
_cell_length_b 6.9386
_cell_length_c 6.5286
_cell_angle_alpha 90.00
_cell_angle_beta 90.00
_cell_angle_gamma 90.00
loop_
_atom_site_label
_atom_site_fract_x
_atom_site_fract_y
_atom_site_fract_z
Ga1 0.0000 0.1738 0.0000
Ga2 0.5000 0.8262 0.5000
Ag1 0.2476 0.6896 0.0077
Ag2 0.2524 0.3104 0.5077
Ag3 0.7476 0.3104 0.5077
Ag4 0.7524 0.6896 0.0077
Bi1 0.0000 0.8142 0.4838
Bi2 0.5000 0.1858 0.9838
S1 0.0000 0.1756 0.3596
S2 0.0000 0.8562 0.8911
S3 0.2124 0.3315 0.8932
S4 0.2876 0.6685 0.3932
S5 0.5000 0.1438 0.3911
S6 0.5000 0.8244 0.8596
S7 0.7124 0.6685 0.3932
S8 0.7876 0.3315 0.8932
```

Largest 10 diffraction maxima, by angle, 2θ from 10° to 90°:
d (Å)  Rel. int.
3.720  32.8
3.469  33.1
3.264  48.1
3.232  100.0
3.064  22.7
2.377  17.9
2.203  20.6
2.048  31.0
1.878  36.0
1.735  26.3

For Sr4LiB3N6, a crystal structure in Alexandria, relaxed with GGA-PBE gives the theoretical PXRD pattern in this record (copper Kα).

Cell and atoms:
```
data_Sr4LiB3N6
_chemical_formula_sum 'Sr4 Li1 B3 N6'
_space_group_name_H-M_alt 'P 1'
_space_group_IT_number 1
_space_group_name_Hall 'P 1'
_cell_length_a 6.4875
_cell_length_b 6.4875
_cell_length_c 6.4875
_cell_angle_alpha 109.47
_cell_angle_beta 109.47
_cell_angle_gamma 109.47
loop_
_atom_site_label
_atom_site_fract_x
_atom_site_fract_y
_atom_site_fract_z
Sr1 0.0000 0.0000 0.5000
Sr2 0.0000 0.5000 0.0000
Sr3 0.5000 0.0000 0.0000
Sr4 0.5000 0.5000 0.5000
Li1 0.0000 0.0000 0.0000
B1 0.0000 0.5000 0.5000
B2 0.5000 0.0000 0.5000
B3 0.5000 0.5000 0.0000
N1 0.0000 0.3198 0.3198
N2 0.0000 0.6802 0.6802
N3 0.3198 0.0000 0.3198
N4 0.3198 0.3198 0.0000
N5 0.6802 0.0000 0.6802
N6 0.6802 0.6802 0.0000
```

Largest 10 diffraction maxima, by angle, 2θ from 10° to 90°:
d (Å)  Rel. int.
3.746  68.3
2.649  100.0
2.163  36.7
1.873  22.4
1.675  36.7
1.529  31.3
1.324  12.2
1.249  18.5
1.184  18.1
1.129  11.2

For Hg2H3S2, a crystal structure in Alexandria, relaxed with GGA-PBE gives the theoretical PXRD pattern in this record (copper Kα).

Cell and atoms:
```
data_Hg2H3S2
_chemical_formula_sum 'Hg2 H3 S2'
_space_group_name_H-M_alt 'P 1'
_space_group_IT_number 1
_space_group_name_Hall 'P 1'
_cell_length_a 4.9298
_cell_length_b 6.1406
_cell_length_c 7.0990
_cell_angle_alpha 69.91
_cell_angle_beta 77.29
_cell_angle_gamma 67.47
loop_
_atom_site_label
_atom_site_fract_x
_atom_site_fract_y
_atom_site_fract_z
Hg1 0.0000 0.0000 0.0000
Hg2 0.3838 0.2185 0.0403
H1 0.1949 0.7872 0.5269
H2 0.2730 0.0870 0.5102
H3 0.8895 0.5251 0.3020
S1 0.1687 0.5270 0.2722
S2 0.3589 0.8451 0.6208
```

Largest 10 diffraction maxima, by angle, 2θ from 10° to 90°:
d (Å)  Rel. int.
6.633  100.0
5.432  37.1
4.959  22.5
4.252  20.2
3.712  30.6
3.316  21.0
3.281  14.0
2.846  14.9
2.444  13.5
1.868  14.1

For Li2CoW2, a crystal structure in Alexandria, relaxed with GGA-PBE gives the theoretical PXRD pattern in this record (copper Kα).

Cell and atoms:
```
data_Li2CoW2
_chemical_formula_sum 'Li4 Co2 W4'
_space_group_name_H-M_alt 'P 1'
_space_group_IT_number 1
_space_group_name_Hall 'P 1'
_cell_length_a 2.8143
_cell_length_b 2.8143
_cell_length_c 16.7366
_cell_angle_alpha 90.00
_cell_angle_beta 90.00
_cell_angle_gamma 90.00
loop_
_atom_site_label
_atom_site_fract_x
_atom_site_fract_y
_atom_site_fract_z
Li1 0.0000 0.5000 0.2500
Li2 0.0000 0.5000 0.7500
Li3 0.5000 0.0000 0.2500
Li4 0.5000 0.0000 0.7500
Co1 0.0000 0.0000 0.0000
Co2 0.5000 0.5000 0.5000
W1 0.0000 0.0000 0.3973
W2 0.0000 0.0000 0.6027
W3 0.5000 0.5000 0.1027
W4 0.5000 0.5000 0.8973
```

Largest 10 diffraction maxima, by angle, 2θ from 10° to 90°:
d (Å)  Rel. int.
8.368  87.9
4.184  43.3
2.775  58.5
2.513  31.9
2.154  100.0
1.990  37.8
1.797  21.4
1.281  19.2
1.255  15.9
1.178  28.8

For Rb2BaNbO4, a crystal structure in Alexandria, relaxed with GGA-PBE gives the theoretical PXRD pattern in this record (copper Kα).

Cell and atoms:
```
data_Rb2BaNbO4
_chemical_formula_sum 'Rb4 Ba2 Nb2 O8'
_space_group_name_H-M_alt 'P 1'
_space_group_IT_number 1
_space_group_name_Hall 'P 1'
_cell_length_a 6.5064
_cell_length_b 6.5064
_cell_length_c 8.7390
_cell_angle_alpha 90.00
_cell_angle_beta 90.00
_cell_angle_gamma 90.00
loop_
_atom_site_label
_atom_site_fract_x
_atom_site_fract_y
_atom_site_fract_z
Rb1 0.0000 0.0000 0.0000
Rb2 0.0000 0.5000 0.2500
Rb3 0.5000 0.0000 0.7500
Rb4 0.5000 0.5000 0.5000
Ba1 0.0000 0.5000 0.7500
Ba2 0.5000 0.0000 0.2500
Nb1 0.0000 0.0000 0.5000
Nb2 0.5000 0.5000 0.0000
O1 0.1720 0.7876 0.5889
O2 0.2124 0.1720 0.4111
O3 0.2876 0.3280 0.9111
O4 0.3280 0.7124 0.0889
O5 0.6720 0.2876 0.0889
O6 0.7124 0.6720 0.9111
O7 0.7876 0.8280 0.4111
O8 0.8280 0.2124 0.5889
```

Largest 10 diffraction maxima, by angle, 2θ from 10° to 90°:
d (Å)  Rel. int.
3.253  39.4
3.168  100.0
2.300  22.9
1.861  39.5
1.814  21.3
1.584  11.1
1.447  9.6
1.225  10.7
1.211  10.0
1.189  10.4

For Ca2TaCuB, a crystal structure in Alexandria, relaxed with GGA-PBE gives the theoretical PXRD pattern in this record (copper Kα).

Cell and atoms:
```
data_Ca2TaCuB
_chemical_formula_sum 'Ca2 Ta1 Cu1 B1'
_space_group_name_H-M_alt 'P 1'
_space_group_IT_number 1
_space_group_name_Hall 'P 1'
_cell_length_a 5.1249
_cell_length_b 5.1249
_cell_length_c 4.3497
_cell_angle_alpha 90.00
_cell_angle_beta 90.00
_cell_angle_gamma 90.00
loop_
_atom_site_label
_atom_site_fract_x
_atom_site_fract_y
_atom_site_fract_z
Ca1 0.0000 0.5000 0.0000
Ca2 0.5000 0.0000 0.0000
Ta1 0.0000 0.0000 0.5000
Cu1 0.5000 0.5000 0.5000
B1 0.0000 0.0000 0.0000
```

Largest 10 diffraction maxima, by angle, 2θ from 10° to 90°:
d (Å)  Rel. int.
5.125  29.9
4.350  16.2
3.624  27.1
3.316  14.6
2.784  100.0
2.562  43.7
2.175  13.4
1.812  15.0
1.658  22.3
1.519  30.5

For Ca2InGe, a crystal structure in Alexandria, relaxed with GGA-PBE gives the theoretical PXRD pattern in this record (copper Kα).

Cell and atoms:
```
data_Ca2InGe
_chemical_formula_sum 'Ca4 In2 Ge2'
_space_group_name_H-M_alt 'P 1'
_space_group_IT_number 1
_space_group_name_Hall 'P 1'
_cell_length_a 6.1736
_cell_length_b 4.3461
_cell_length_c 8.8583
_cell_angle_alpha 90.00
_cell_angle_beta 107.73
_cell_angle_gamma 90.00
loop_
_atom_site_label
_atom_site_fract_x
_atom_site_fract_y
_atom_site_fract_z
Ca1 0.1879 0.2500 0.4187
Ca2 0.2745 0.7500 0.0603
Ca3 0.7255 0.2500 0.9397
Ca4 0.8121 0.7500 0.5813
In1 0.3761 0.7500 0.7115
In2 0.6239 0.2500 0.2885
Ge1 0.1425 0.2500 0.7886
Ge2 0.8575 0.7500 0.2114
```

Largest 10 diffraction maxima, by angle, 2θ from 10° to 90°:
d (Å)  Rel. int.
5.708  64.3
4.255  49.3
4.219  51.9
3.040  83.1
3.027  82.8
2.435  100.0
2.415  96.5
2.386  72.0
2.281  55.9
2.173  49.7

For GeAu4, a crystal structure in Alexandria, relaxed with GGA-PBE gives the theoretical PXRD pattern in this record (copper Kα).

Cell and atoms:
```
data_GeAu4
_chemical_formula_sum 'Ge2 Au8'
_space_group_name_H-M_alt 'P 1'
_space_group_IT_number 1
_space_group_name_Hall 'P 1'
_cell_length_a 5.6803
_cell_length_b 5.6803
_cell_length_c 5.9775
_cell_angle_alpha 90.00
_cell_angle_beta 90.00
_cell_angle_gamma 90.00
loop_
_atom_site_label
_atom_site_fract_x
_atom_site_fract_y
_atom_site_fract_z
Ge1 0.2500 0.2500 0.0000
Ge2 0.7500 0.7500 0.0000
Au1 0.0769 0.5769 0.2836
Au2 0.0769 0.9231 0.7164
Au3 0.4231 0.5769 0.7164
Au4 0.4231 0.9231 0.2836
Au5 0.5769 0.0769 0.7164
Au6 0.5769 0.4231 0.2836
Au7 0.9231 0.0769 0.2836
Au8 0.9231 0.4231 0.7164
```

Largest 10 diffraction maxima, by angle, 2θ from 10° to 90°:
d (Å)  Rel. int.
2.989  31.8
2.840  18.6
2.338  100.0
2.059  25.5
1.936  10.1
1.796  13.8
1.568  20.0
1.342  22.8
1.222  12.8
1.133  9.5